Theoretical powder diffractogram
Compound: Lu4Co
Radiation: Cu Kα
Structure: a structure optimized by DFT (GGA-PBE)

Structure:
a = 7.326 Å, b = 7.326 Å, c = 7.326 Å
α = 60.00°, β = 60.00°, γ = 60.00°
Fractional positions:
Lu 0.218 0.761 0.761
Lu 0.239 0.239 0.239
Lu 0.239 0.239 0.782
Lu 0.239 0.782 0.239
Lu 0.761 0.218 0.761
Lu 0.761 0.761 0.218
Lu 0.761 0.761 0.761
Lu 0.782 0.239 0.239
Co 0.375 0.375 0.375
Co 0.625 0.625 0.625

Top 12 peaks for 2θ from 15° to 90°, in order of rising 2θ:
2θ/deg, I_rel
29.87, 1000
34.63, 411
37.85, 85
45.49, 101
49.79, 403
59.15, 382
62.07, 89
64.20, 47
73.07, 56
75.04, 48
80.89, 136
83.45, 101